(1)
Cs2Sn2O3: simulated powder diffraction line list (λ = 1.5418 Å (Cu Kα)), based on a crystal structure in Alexandria, relaxed with GGA-PBE.
Intensities are scaled so that the largest is 100.

Atomic structure:
```
Cs2Sn2O3
1.0
14.168 0.000 0.000
0.000 6.220 0.000
0.000 0.000 9.199
Cs Sn O
8 8 12
direct
0.097 0.250 0.154
0.134 0.750 0.454
0.366 0.250 0.954
0.403 0.750 0.654
0.597 0.250 0.346
0.634 0.750 0.046
0.866 0.250 0.546
0.903 0.750 0.846
0.138 0.250 0.701
0.197 0.750 0.899
0.303 0.250 0.399
0.362 0.750 0.201
0.638 0.250 0.799
0.697 0.750 0.601
0.803 0.250 0.101
0.862 0.750 0.299
0.164 0.250 0.479
0.230 0.503 0.752
0.230 0.997 0.752
0.270 0.003 0.252
0.270 0.497 0.252
0.336 0.750 0.979
0.664 0.250 0.021
0.730 0.503 0.748
0.730 0.997 0.748
0.770 0.003 0.248
0.770 0.497 0.248
0.836 0.750 0.521
```

Main lines, by angle (2θ = 5–70°):
12.50°, rel. 40; 24.88°, rel. 99; 25.14°, rel. 39; 25.59°, rel. 56; 27.01°, rel. 50; 27.20°, rel. 100; 28.70°, rel. 78; 30.70°, rel. 73

=====

(2)
CsSnO3: simulated powder diffraction line list (λ = 1.5418 Å (Cu Kα)), based on a crystal structure in Alexandria, relaxed with GGA-PBE.
Intensities are scaled so that the largest is 100.

Atomic structure:
```
CsSnO3
1.0
3.228 0.000 0.000
0.000 4.210 0.000
0.000 0.000 6.526
Cs Sn O
1 1 3
direct
0.000 0.000 0.000
0.000 0.500 0.500
0.000 0.000 0.500
0.500 0.500 0.289
0.500 0.500 0.711
```

Main lines, by angle (2θ = 5–70°):
25.17°, rel. 100; 27.33°, rel. 39; 27.64°, rel. 37; 37.73°, rel. 61; 39.26°, rel. 46; 42.97°, rel. 18; 55.41°, rel. 26; 59.60°, rel. 26

=====

(3)
CsSn2TeO8: simulated powder diffraction line list (λ = 1.5418 Å (Cu Kα)), based on a crystal structure in Alexandria, relaxed with GGA-PBE.
Intensities are scaled so that the largest is 100.

Atomic structure:
```
CsSn2TeO8
1.0
4.348 -3.047 0.000
4.348 3.047 0.000
-3.054 0.000 7.085
Cs Sn Te O
1 2 1 8
direct
0.000 0.000 0.000
0.448 0.448 0.750
0.552 0.552 0.250
0.000 0.000 0.500
0.173 0.714 0.303
0.229 0.229 0.522
0.286 0.827 0.697
0.361 0.361 0.964
0.639 0.639 0.036
0.714 0.173 0.303
0.771 0.771 0.478
0.827 0.286 0.697
```

Main lines, by angle (2θ = 5–70°):
22.26°, rel. 83; 27.39°, rel. 100; 29.31°, rel. 49; 34.78°, rel. 54; 36.36°, rel. 34; 37.12°, rel. 27; 50.82°, rel. 20; 55.58°, rel. 16

=====

(4)
Cs2TiSnO4: simulated powder diffraction line list (λ = 1.5418 Å (Cu Kα)), based on a crystal structure in Alexandria, relaxed with GGA-PBE.
Intensities are scaled so that the largest is 100.

Atomic structure:
```
Cs2TiSnO4
1.0
6.232 0.000 0.000
0.000 8.148 0.000
0.000 0.000 7.026
Cs Ti Sn O
4 2 2 8
direct
0.250 0.012 0.210
0.250 0.488 0.210
0.750 0.512 0.790
0.750 0.988 0.790
0.250 0.750 0.629
0.750 0.250 0.371
0.250 0.250 0.717
0.750 0.750 0.283
0.000 0.250 0.522
0.000 0.750 0.478
0.250 0.564 0.769
0.250 0.936 0.769
0.500 0.250 0.522
0.500 0.750 0.478
0.750 0.064 0.231
0.750 0.436 0.231
```

Main lines, by angle (2θ = 5–70°):
25.33°, rel. 36; 28.65°, rel. 29; 29.12°, rel. 100; 38.62°, rel. 25; 44.48°, rel. 9; 51.04°, rel. 21; 53.90°, rel. 11; 60.34°, rel. 10

=====

(5)
Cs3SrO8: simulated powder diffraction line list (λ = 1.5418 Å (Cu Kα)), based on a crystal structure in Alexandria, relaxed with GGA-PBE.
Intensities are scaled so that the largest is 100.

Atomic structure:
```
Cs3SrO8
1.0
-3.950 3.950 4.610
3.950 -3.950 4.610
3.950 3.950 -4.610
Cs Sr O
3 1 8
direct
0.000 0.000 0.000
0.250 0.750 0.500
0.750 0.250 0.500
0.500 0.500 0.000
0.150 0.150 0.684
0.214 0.214 0.554
0.340 0.786 0.000
0.466 0.466 0.316
0.534 0.850 0.000
0.660 0.660 0.446
0.786 0.340 0.000
0.850 0.534 0.000
```

Main lines, by angle (2θ = 5–70°):
22.51°, rel. 42; 25.05°, rel. 100; 32.05°, rel. 36; 41.10°, rel. 60; 45.57°, rel. 20; 51.40°, rel. 14; 63.33°, rel. 15; 66.71°, rel. 13

=====

(6)
Cs2Sr2TcO6: simulated powder diffraction line list (λ = 1.5418 Å (Cu Kα)), based on a crystal structure in Alexandria, relaxed with GGA-PBE.
Intensities are scaled so that the largest is 100.

Atomic structure:
```
Cs2Sr2TcO6
1.0
3.096 -5.235 0.000
3.096 5.235 0.000
-1.839 0.000 6.879
Cs Sr Tc O
2 2 1 6
direct
0.167 0.833 0.000
0.833 0.167 0.000
0.337 0.663 0.500
0.663 0.337 0.500
0.000 0.000 0.500
0.046 0.318 0.658
0.212 0.212 0.335
0.318 0.046 0.658
0.682 0.954 0.342
0.788 0.788 0.665
0.954 0.682 0.342
```

Main lines, by angle (2θ = 5–70°):
17.07°, rel. 43; 25.90°, rel. 66; 29.87°, rel. 40; 30.80°, rel. 72; 33.99°, rel. 100; 34.28°, rel. 55; 46.54°, rel. 35; 53.25°, rel. 32

=====

(7)
CsSr2TlO4: simulated powder diffraction line list (λ = 1.5418 Å (Cu Kα)), based on a crystal structure in Alexandria, relaxed with GGA-PBE.
Intensities are scaled so that the largest is 100.

Atomic structure:
```
CsSr2TlO4
1.0
-3.826 3.860 5.309
3.826 -3.860 5.309
3.826 3.860 -5.309
Cs Sr Tl O
2 4 2 8
direct
0.500 0.000 0.000
0.500 0.500 0.500
0.000 0.000 0.000
0.000 0.000 0.500
0.000 0.500 0.000
0.500 0.000 0.500
0.000 0.500 0.500
0.500 0.500 0.000
0.163 0.697 0.466
0.231 0.193 0.461
0.231 0.770 0.039
0.269 0.303 0.966
0.731 0.697 0.034
0.769 0.230 0.961
0.769 0.807 0.539
0.837 0.303 0.534
```

Main lines, by angle (2θ = 5–70°):
14.26°, rel. 30; 28.59°, rel. 90; 28.76°, rel. 89; 32.96°, rel. 100; 33.77°, rel. 43; 47.91°, rel. 62; 56.40°, rel. 31; 57.32°, rel. 32